(1)
Structure and computed powder XRD pattern of La2PN (DFT lattice parameters and positions (GGA-PBE); a wavelength of 1.5418 Å).
Neutral-atom scattering factors, no anomalous dispersion.

```
La2PN
1.0
5.978 0.000 0.000
0.000 5.946 0.000
-5.606 0.000 11.038
La P N
8 4 4
direct
0.098 0.225 0.105 La
0.098 0.775 0.605 La
0.320 0.234 0.855 La
0.320 0.766 0.355 La
0.680 0.234 0.645 La
0.680 0.766 0.145 La
0.902 0.225 0.395 La
0.902 0.775 0.895 La
0.383 0.265 0.375 P
0.383 0.735 0.875 P
0.617 0.265 0.125 P
0.617 0.735 0.625 P
0.049 0.169 0.623 N
0.049 0.831 0.123 N
0.951 0.169 0.877 N
0.951 0.831 0.377 N
```

Peak list (10 most intense, 2θ = 10–90°, low angle first)
Position (°2θ)	I (rel.)
26.30	90
26.92	100
29.91	68
30.06	68
32.45	49
42.92	45
44.81	35
45.49	21
51.48	18
55.49	21

---

(2)
Structure and computed powder XRD pattern of DyEr2Sc3 (DFT lattice parameters and positions (GGA-PBE); a wavelength of 1.5418 Å).
Neutral-atom scattering factors, no anomalous dispersion.

```
DyEr2Sc3
1.0
5.932 0.000 0.000
0.000 3.423 0.000
-1.983 0.000 16.341
Dy Er Sc
2 4 6
direct
0.028 0.250 0.333 Dy
0.972 0.750 0.667 Dy
0.250 0.250 0.000 Er
0.473 0.250 0.667 Er
0.527 0.750 0.333 Er
0.750 0.750 0.000 Er
0.139 0.750 0.167 Sc
0.251 0.750 0.500 Sc
0.361 0.750 0.833 Sc
0.639 0.250 0.167 Sc
0.749 0.250 0.500 Sc
0.861 0.250 0.833 Sc
```

Peak list (10 most intense, 2θ = 10–90°, low angle first)
Position (°2θ)	I (rel.)
16.27	96
31.03	71
31.52	100
32.86	74
33.58	46
35.38	40
38.63	58
39.84	36
53.53	42
64.26	50